# 1
The following is a computed powder diffraction line list of AuSe6Cl. It was derived from DFT lattice parameters and positions (PBE), using Cu Kα, 1.54184 Å.
Kinematic intensities with the Lorentz-polarization factor, no thermal factor.

Main lines, sorted by position (5 to 70 degrees two-theta):
| 2θ (°) | I/Imax |
| --- | --- |
| 16.0 | 95 |
| 30.8 | 50 |
| 32.2 | 100 |
| 37.4 | 60 |
| 40.9 | 53 |
| 49.2 | 51 |
| 53.9 | 27 |
| 56.6 | 17 |
| 64.2 | 18 |
| 69.8 | 21 |

Structural model:
```
AuSe6Cl
1.0
0.000 4.811 4.811
4.811 0.000 4.811
4.811 4.811 0.000
Au Se Cl
1 6 1
direct
0.000 0.000 0.000
0.052 0.052 0.448
0.052 0.448 0.052
0.052 0.448 0.448
0.448 0.052 0.052
0.448 0.052 0.448
0.448 0.448 0.052
0.750 0.750 0.750
```



# 2
The following is a computed powder diffraction line list of Te2AuCl. It was derived from DFT lattice parameters and positions (PBE), using Cu Kα, 1.54184 Å.
Kinematic intensities with the Lorentz-polarization factor, no thermal factor.

Main lines, sorted by position (5 to 70 degrees two-theta):
| 2θ (°) | I/Imax |
| --- | --- |
| 14.2 | 100 |
| 20.8 | 40 |
| 29.0 | 26 |
| 30.1 | 56 |
| 30.8 | 23 |
| 31.6 | 91 |
| 39.8 | 26 |
| 42.5 | 38 |
| 44.6 | 36 |
| 45.8 | 34 |

Structural model:
```
Te2AuCl
1.0
6.475 -2.032 0.000
6.475 2.032 0.000
-1.270 0.000 4.548
Te Au Cl
2 1 1
direct
0.000 0.000 0.000
0.178 0.178 0.732
0.588 0.588 0.366
0.347 0.347 0.472
```



# 3
The following is a computed powder diffraction line list of Tb2DyZn3CoAu2. It was derived from DFT lattice parameters and positions (PBE), using Cu Kα, 1.54184 Å.
Kinematic intensities with the Lorentz-polarization factor, no thermal factor.

Main lines, sorted by position (5 to 70 degrees two-theta):
| 2θ (°) | I/Imax |
| --- | --- |
| 24.5 | 21 |
| 33.5 | 100 |
| 36.5 | 50 |
| 37.9 | 27 |
| 43.2 | 32 |
| 44.5 | 21 |
| 45.9 | 19 |
| 61.0 | 13 |
| 64.8 | 19 |
| 69.4 | 17 |

Structural model:
```
Tb2DyZn3CoAu2
1.0
3.956 0.000 0.000
0.000 6.279 3.631
0.000 -6.279 3.631
Tb Dy Zn Co Au
2 1 3 1 2
direct
0.000 0.195 0.805
0.000 0.805 0.195
0.000 0.414 0.414
0.500 0.032 0.032
0.500 0.577 0.804
0.500 0.804 0.577
0.000 0.804 0.804
0.500 0.139 0.471
0.500 0.471 0.139
```